Calculated powder diffraction line list
Compound: YCdHg2Rh
Radiation: Cu Kα, 1.54184 Å
Structure: DFT lattice parameters and positions (PBE)
No peak broadening, texture or thermal motion is included.

Peak list (10 most intense, 2θ from 10° to 80°, by angle)
(hkl)	2theta	I (rel.)
0 0 1	17.4	390
1 1 1	30.2	1000
2 0 0	35.0	745
0 0 2	35.2	366
2 0 1	39.3	256
2 2 0	50.3	265
2 0 2	50.4	525
3 1 1	59.8	296
1 1 3	60.1	146
2 2 2	62.9	270

Cell and atoms:
Lattice parameters (Å, degrees): 5.1324 5.1324 5.1013 90.00 90.00 90.00
Fractional positions:
Y (0.0000, 0.0000, 0.0000)
Cd (0.5000, 0.5000, 0.5000)
Hg (0.0000, 0.5000, 0.5000)
Hg (0.5000, 0.0000, 0.5000)
Rh (0.5000, 0.5000, 0.0000)


Calculated powder diffraction line list
Compound: Sr2Al7Ag
Radiation: Cu Kα, 1.54184 Å
Structure: DFT lattice parameters and positions (PBE)
No peak broadening, texture or thermal motion is included.

Peak list (10 most intense, 2θ from 10° to 80°, by angle)
(hkl)	2theta	I (rel.)
1 0 1	21.6	303
1 0 3	31.0	500
1 1 2	32.7	1000
2 0 0	40.9	413
1 0 5	44.7	228
2 1 3	52.2	223
1 1 6	56.7	168
2 2 0	59.3	135
2 1 5	62.2	168
3 1 2	69.4	216

Cell and atoms:
Lattice parameters (Å, degrees): 4.4098 4.4098 11.4211 90.00 90.00 90.00
Fractional positions:
Sr (0.0000, 0.5000, 0.2494)
Sr (0.5000, 0.0000, 0.7506)
Al (0.0000, 0.0000, 0.0000)
Al (0.0000, 0.5000, 0.6325)
Al (0.0000, 0.5000, 0.8628)
Al (0.5000, 0.0000, 0.1372)
Al (0.5000, 0.0000, 0.3675)
Al (0.5000, 0.5000, 0.0000)
Al (0.5000, 0.5000, 0.5000)
Ag (0.0000, 0.0000, 0.5000)


Calculated powder diffraction line list
Compound: CaLa3Tl4
Radiation: Cu Kα, 1.54184 Å
Structure: DFT lattice parameters and positions (PBE)
No peak broadening, texture or thermal motion is included.

Peak list (10 most intense, 2θ from 10° to 80°, by angle)
(hkl)	2theta	I (rel.)
1 0 0	23.4	79
1 0 4	31.5	1000
1 1 0	33.3	444
0 0 8	42.5	102
2 0 0	47.8	163
1 1 8	55.0	195
2 1 4	58.4	352
2 0 8	65.8	113
1 0 12	70.9	92
3 1 0	79.7	77

Cell and atoms:
Lattice parameters (Å, degrees): 3.8065 3.8065 17.0183 90.00 90.00 90.00
Fractional positions:
Ca (0.0000, 0.0000, 0.0000)
La (0.0000, 0.0000, 0.2428)
La (0.0000, 0.0000, 0.5000)
La (0.0000, 0.0000, 0.7572)
Tl (0.5000, 0.5000, 0.1157)
Tl (0.5000, 0.5000, 0.3708)
Tl (0.5000, 0.5000, 0.6292)
Tl (0.5000, 0.5000, 0.8843)